(1)
This entry pairs a crystal structure of Y4TlH with its theoretical powder XRD pattern. Radiation: Cu Kα. Structure: a structure optimized by DFT (GGA-PBE).

Unit cell a=9.0317 b=9.0317 c=5.8452 alpha=102.54 beta=102.54 gamma=130.40
Element x y z (fractional)
Y: 0.0554 0.6120 0.8315
Y: 0.1430 0.2800 0.6197
Y: 0.2800 0.1430 0.1197
Y: 0.3880 0.9446 0.6685
Y: 0.6120 0.0554 0.3315
Y: 0.7200 0.8570 0.8803
Y: 0.8570 0.7200 0.3803
Y: 0.9446 0.3880 0.1685
Tl: 0.4038 0.5962 0.2500
Tl: 0.5962 0.4038 0.7500
H: 0.0070 0.9930 0.2500
H: 0.9930 0.0070 0.7500

Top 10 peaks for 2θ from 5° to 70°, low angle first:
two_theta, intensity
14.69, 30
20.80, 27
26.16, 50
30.55, 30
31.45, 53
32.17, 100
32.38, 69
32.77, 36
36.16, 24
38.93, 20



(2)
This entry pairs a crystal structure of Tl2ZnH4 with its theoretical powder XRD pattern. Radiation: Cu Kα. Structure: a structure optimized by DFT (GGA-PBE).

Unit cell a=7.2946 b=7.2946 c=7.2946 alpha=148.10 beta=148.10 gamma=45.74
Element x y z (fractional)
Tl: 0.1341 0.1341 0.0000
Tl: 0.8659 0.8659 0.0000
Zn: 0.5000 0.5000 0.0000
H: 0.0000 0.5000 0.5000
H: 0.3748 0.3748 0.0000
H: 0.5000 0.0000 0.5000
H: 0.6252 0.6252 0.0000

Top 10 peaks for 2θ from 5° to 70°, low angle first:
two_theta, intensity
23.15, 43
26.52, 22
29.90, 100
31.56, 62
40.39, 20
41.68, 27
45.23, 24
53.20, 13
55.17, 37
64.46, 13



(3)
This entry pairs a crystal structure of Zr5Tl2H2 with its theoretical powder XRD pattern. Radiation: Cu Kα. Structure: a structure optimized by DFT (GGA-PBE).

Unit cell a=5.7457 b=5.7457 c=7.5783 alpha=96.05 beta=96.05 gamma=41.47
Element x y z (fractional)
Zr: 0.0000 0.0000 0.0000
Zr: 0.1397 0.1397 0.4342
Zr: 0.2860 0.2860 0.8505
Zr: 0.7140 0.7140 0.1495
Zr: 0.8603 0.8603 0.5658
Tl: 0.4277 0.4277 0.2747
Tl: 0.5723 0.5723 0.7253
H: 0.1641 0.1641 0.1626
H: 0.8359 0.8359 0.8374

Top 10 peaks for 2θ from 5° to 70°, low angle first:
two_theta, intensity
34.18, 100
34.57, 98
36.97, 41
37.85, 38
44.54, 24
59.22, 21
59.85, 20
64.60, 15
65.33, 15
66.50, 15